Entry 1:
The following is a theoretical powder diffractogram of PrMoO5. It was derived from a DFT-relaxed cell (PBE+U, Alexandria), using Cu Kα.
Kinematic intensities with the Lorentz-polarization factor, no thermal factor.

Structural model:
Cell lengths 5.4792, 13.0745, 7.1956 Å; angles 90.00, 116.41, 90.00 degrees
Sites, in units of the cell vectors:
Pr (0.1586, 0.0639, 0.2832)
Pr (0.1586, 0.4361, 0.7832)
Pr (0.8414, 0.5639, 0.2168)
Pr (0.8414, 0.9361, 0.7168)
Mo (0.4107, 0.1338, 0.8513)
Mo (0.4107, 0.3662, 0.3513)
Mo (0.5893, 0.6338, 0.6487)
Mo (0.5893, 0.8662, 0.1487)
O (0.0440, 0.5532, 0.9859)
O (0.0440, 0.9468, 0.4859)
O (0.2070, 0.0585, 0.9509)
O (0.2070, 0.4415, 0.4509)
O (0.2669, 0.2435, 0.2634)
O (0.2669, 0.2565, 0.7634)
O (0.2794, 0.6569, 0.4268)
O (0.2794, 0.8431, 0.9268)
O (0.4877, 0.5753, 0.8364)
O (0.4877, 0.9247, 0.3364)
O (0.5123, 0.0753, 0.6636)
O (0.5123, 0.4247, 0.1636)
O (0.7206, 0.1569, 0.0732)
O (0.7206, 0.3431, 0.5732)
O (0.7331, 0.7435, 0.2366)
O (0.7331, 0.7565, 0.7366)
O (0.7930, 0.5585, 0.5491)
O (0.7930, 0.9415, 0.0491)
O (0.9560, 0.0532, 0.5141)
O (0.9560, 0.4468, 0.0141)

The 10 most intense peaks (5 to 70 degrees two-theta), by angle:
| Position (°2θ) | Rel. int. | (hkl) |
| --- | --- | --- |
| 13.54 | 98 | 0 2 0 |
| 19.32 | 76 | 1 1 0 |
| 21.93 | 87 | 1 2 -1 |
| 25.44 | 46 | 1 0 -2 |
| 26.35 | 53 | 1 1 -2 |
| 26.76 | 48 | 1 3 -1 |
| 27.35 | 80 | 1 3 0 |
| 28.16 | 53 | 1 1 1 |
| 30.63 | 100 | 1 2 1 |
| 33.50 | 47 | 2 1 -1 |



Entry 2:
The following is a theoretical powder diffractogram of LiMn3O2F6. It was derived from a DFT-relaxed cell (PBE+U, Alexandria), using Cu Kα.
Kinematic intensities with the Lorentz-polarization factor, no thermal factor.

Structural model:
Cell lengths 4.9898, 5.3823, 5.9817 Å; angles 91.77, 99.74, 94.70 degrees
Sites, in units of the cell vectors:
Li (0.0000, 0.0000, 0.0000)
Mn (0.3959, 0.5329, 0.3162)
Mn (0.3990, 0.0374, 0.5588)
Mn (0.4098, 0.5491, 0.8066)
O (0.2239, 0.6968, 0.5425)
O (0.5741, 0.3757, 0.5808)
F (0.1602, 0.1849, 0.2674)
F (0.1776, 0.1670, 0.7683)
F (0.1880, 0.6717, 0.0340)
F (0.6078, 0.4234, 0.0846)
F (0.6199, 0.8986, 0.3622)
F (0.6493, 0.8898, 0.8470)

The 10 most intense peaks (5 to 70 degrees two-theta), by angle:
| Position (°2θ) | Rel. int. | (hkl) |
| --- | --- | --- |
| 15.04 | 10 | 0 0 1 |
| 18.11 | 100 | 1 0 0 |
| 21.50 | 9 | 1 0 -1 |
| 33.44 | 11 | 0 2 0 |
| 34.07 | 9 | 0 1 -2 |
| 36.72 | 17 | -1 1 2 |
| 39.75 | 27 | 1 2 0 |
| 40.66 | 27 | 1 -1 2 |
| 46.42 | 18 | -2 1 2 |
| 52.82 | 9 | 2 2 0 |